The following is a simulated powder diffractogram of Pr2MgCuO4. It was derived from a DFT-relaxed cell (GGA-PBE, the Materials Project), using a wavelength of 1.5418 Å.
No peak broadening, texture or thermal motion is included.

Top 6 peaks for 2θ from 15° to 90°, by angle:
hkl, 2θ (°), I (rel.)
0 0 1, 22.69, 58.8
4 0 -1, 28.50, 82.3
1 1 -1, 31.11, 71.0
4 0 1, 37.71, 100.0
0 2 0, 44.57, 52.8
3 1 2, 59.77, 50.9

Structural model:
Unit cell a=15.277 b=4.066 c=4.066 alpha=90.00 beta=105.35 gamma=90.00
Space group Cm (No. 8)
One atom of each set of equivalent atoms:
Pr  0.000  0.000  0.000 [2 per cell]
Pr  0.233  0.000  0.232 [2 per cell]
Mg  0.430  0.000  0.430 [2 per cell]
Cu  0.109  0.500  0.608 [2 per cell]
O  0.153  0.000  0.652 [2 per cell]
O  0.153  0.500  0.152 [2 per cell]
O  0.406  0.000  0.906 [2 per cell]
O  0.406  0.500  0.406 [2 per cell]